Starting from DFT lattice parameters and positions (PBE+U), the powder diffraction line list of VO2F was computed for Cu Kα.
No peak broadening, texture or thermal motion is included.

Peak list (10 most intense, 10° ≤ 2θ ≤ 90°, by angle)
2θ (°)  I_rel
23.74  100.0
33.83  15.2
34.52  4.3
39.88  7.2
48.58  22.4
53.23  3.9
54.77  25.6
60.47  3.6
71.21  5.5
76.16  5.1

Structural model:
a b c (Å): 5.305 5.305 12.964
angles (deg): 89.99 89.99 60.00
Space group P1 (No. 1)
Unique sites:
V: 0.000 0.000 0.000 x1
V: 0.012 0.893 0.500 x1
V: 0.262 0.341 0.167 x1
V: 0.370 0.245 0.667 x1
V: 0.615 0.630 0.333 x1
V: 0.710 0.642 0.833 x1
O: 0.001 0.410 0.254 x1
O: 0.111 0.625 0.087 x1
O: 0.204 0.631 0.587 x1
O: 0.206 0.073 0.084 x1
O: 0.335 0.837 0.417 x1
O: 0.442 0.966 0.751 x1
O: 0.459 0.498 0.252 x1
O: 0.658 0.089 0.586 x1
O: 0.781 0.834 0.920 x1
O: 0.869 0.287 0.919 x1
O: 0.879 0.742 0.420 x1
O: 0.994 0.509 0.753 x1
F: 0.110 0.186 0.584 x1
F: 0.320 0.740 0.918 x1
F: 0.535 0.414 0.753 x1
F: 0.557 0.949 0.251 x1
F: 0.665 0.166 0.086 x1
F: 0.783 0.296 0.420 x1